Diffraction record for Cs2Hg3Ge2S8. The PXRD pattern is calculated, not measured: it uses a GGA-PBE-relaxed structure and Cu Kα.
Lines closer than 0.1° are merged.

Most intense lines, 10 to 90 degrees two-theta, sorted by position:
- 12.11°, I 100.0
- 21.19°, I 95.7
- 22.69°, I 67.7
- 23.45°, I 86.5
- 24.37°, I 29.9
- 26.74°, I 41.5
- 28.35°, I 54.2
- 28.56°, I 59.1
- 31.86°, I 45.8
- 31.98°, I 34.3
- 35.21°, I 59.4
- 37.89°, I 28.3

Structure:
```
data_Cs2Hg3Ge2S8
_cell_length_a 6.7254
_cell_length_b 8.0971
_cell_length_c 9.4475
_cell_angle_alpha 108.02
_cell_angle_beta 92.35
_cell_angle_gamma 106.69
_space_group_name_H-M_alt 'P -1'
_space_group_IT_number 2
loop_
_space_group_symop_operation_xyz
'x,y,z'
'-x,-y,-z'
loop_
_atom_site_label
_atom_site_fract_x
_atom_site_fract_y
_atom_site_fract_z
_atom_site_occupancy
Cs1 0.1104 0.4589 0.2425 1
Hg1 0.3171 0.0702 0.3875 1
Hg2 0.5000 0.0000 0.0000 1
Ge1 0.2594 0.1548 0.7578 1
S1 0.0567 0.8668 0.1658 1
S2 0.2835 0.8798 0.6286 1
S3 0.3334 0.3389 0.6198 1
S4 0.4844 0.2815 0.9776 1
```